DyHoCo2B2P2: computed powder X-ray diffraction pattern (Cu Kα X-rays), based on a cell relaxed with GGA-PBE.
Neutral-atom scattering factors, no anomalous dispersion.

Top 8 peaks for 2θ = 10–80°, by angle:
3.417 Å, I 100
2.692 Å, I 35
2.667 Å, I 32
2.532 Å, I 39
2.225 Å, I 88
2.191 Å, I 34
1.886 Å, I 41
1.651 Å, I 27

abc: 3.7715 3.7715 8.0758
angles: 90.00 90.00 90.00
Fractional coordinates of all 8 atoms:
1 Dy 0.0000 0.0000 0.0000
2 Ho 0.5000 0.5000 0.4185
3 Co 0.0000 0.5000 0.7095
4 Co 0.5000 0.0000 0.7095
5 B 0.0000 0.0000 0.6048
6 B 0.5000 0.5000 0.8155
7 P 0.0000 0.0000 0.3591
8 P 0.5000 0.5000 0.0619


Fe4CoSi2Ir: computed powder X-ray diffraction pattern (Cu Kα X-rays), based on a cell relaxed with GGA-PBE.
Neutral-atom scattering factors, no anomalous dispersion.

Top 8 peaks for 2θ = 10–80°, by angle:
5.707 Å, I 10
4.025 Å, I 12
3.289 Å, I 19
2.849 Å, I 18
2.547 Å, I 9
2.014 Å, I 100
1.717 Å, I 6
1.423 Å, I 10

abc: 4.0254 4.0254 5.7067
angles: 90.00 90.00 90.00
Fractional coordinates of all 8 atoms:
1 Fe 0.0000 0.0000 0.0000
2 Fe 0.0000 0.5000 0.7341
3 Fe 0.5000 0.0000 0.2659
4 Fe 0.5000 0.5000 0.5000
5 Co 0.0000 0.0000 0.5000
6 Si 0.0000 0.5000 0.2583
7 Si 0.5000 0.0000 0.7417
8 Ir 0.5000 0.5000 0.0000


Gd2OsF2: computed powder X-ray diffraction pattern (Cu Kα X-rays), based on a cell relaxed with GGA-PBE.
Neutral-atom scattering factors, no anomalous dispersion.

Top 8 peaks for 2θ = 10–80°, by angle:
4.349 Å, I 41
4.326 Å, I 100
2.515 Å, I 59
2.502 Å, I 19
2.175 Å, I 80
1.779 Å, I 21
1.645 Å, I 31
1.640 Å, I 24

abc: 5.6009 5.6009 5.6009
angles: 126.63 126.63 78.85
Fractional coordinates of all 5 atoms:
1 Gd 0.0000 0.5000 0.5000
2 Gd 0.5000 0.0000 0.5000
3 Os 0.0000 0.0000 0.0000
4 F 0.3672 0.3672 0.0000
5 F 0.6328 0.6328 0.0000